No. 1
# YUAs2
Calculated PXRD pattern, copper Kα. Input: a structure optimized by DFT (GGA-PBE).
Lines closer than 0.1° are merged.

Structure:
```
data_YUAs2
_cell_length_a 4.1164
_cell_length_b 4.1164
_cell_length_c 5.8011
_cell_angle_alpha 90.00
_cell_angle_beta 90.00
_cell_angle_gamma 90.00
_symmetry_space_group_name_H-M 'P 4/m m m'
_symmetry_Int_Tables_number 123
_symmetry_space_group_name_Hall '-P 4 2'
loop_
_atom_site_label
_atom_site_fract_x
_atom_site_fract_y
_atom_site_fract_z
Y1 0.0000 0.0000 0.0000
U1 0.5000 0.5000 0.5000
As1 0.0000 0.0000 0.5000
As2 0.5000 0.5000 0.0000
```

Largest 10 diffraction maxima, in order of falling intensity, 2θ = 10–90°:
- (2 0 0), 44.0 deg, I 1000
- (1 1 0), 30.7 deg, I 895
- (0 0 2), 30.8 deg, I 443
- (2 0 2), 54.7 deg, I 353
- (3 1 0), 72.7 deg, I 307
- (1 0 1), 26.6 deg, I 300
- (3 1 2), 81.0 deg, I 233
- (0 0 1), 15.3 deg, I 177
- (1 0 0), 21.6 deg, I 165
- (1 1 4), 72.9 deg, I 152

---

No. 2
# Ce2Ni3Ge5
Calculated PXRD pattern, copper Kα. Input: a structure optimized by DFT (GGA-PBE).
Lines closer than 0.1° are merged.

Structure:
```
data_Ce2Ni3Ge5
_cell_length_a 9.7433
_cell_length_b 11.7346
_cell_length_c 5.9405
_cell_angle_alpha 90.00
_cell_angle_beta 90.00
_cell_angle_gamma 90.00
_symmetry_space_group_name_H-M 'I b a m'
_symmetry_Int_Tables_number 72
_symmetry_space_group_name_Hall '-I 2 2c'
loop_
_atom_site_label
_atom_site_fract_x
_atom_site_fract_y
_atom_site_fract_z
Ce1 0.2332 0.1317 0.0000
Ni1 0.0000 0.5000 0.2500
Ni2 0.1097 0.1381 0.5000
Ge1 0.0000 0.0000 0.2500
Ge2 0.0000 0.2690 0.2500
Ge3 0.1560 0.3991 0.0000
```

Largest 10 diffraction maxima, in order of falling intensity, 2θ = 10–90°:
- (2 0 2), 35.4 deg, I 1000
- (0 4 2), 43.4 deg, I 961
- (3 2 1), 35.0 deg, I 912
- (2 4 0), 35.7 deg, I 841
- (5 2 1), 51.8 deg, I 316
- (2 4 4), 74.2 deg, I 277
- (3 2 3), 56.7 deg, I 256
- (3 6 1), 57.1 deg, I 186
- (0 0 4), 62.5 deg, I 179
- (0 0 2), 30.1 deg, I 149